# NaCaP2Pd5
Computed powder diffractogram, CuKα. Input: a PBE-relaxed structure.

Peak list (10 most intense, 10° ≤ 2θ ≤ 90°, sorted by position)
2θ = 10.23°, I 14, (0 0 1); 2θ = 20.54°, I 21, (0 0 2); 2θ = 36.82°, I 100, (1 1 2); 2θ = 41.78°, I 14, (0 0 4); 2θ = 43.27°, I 38, (2 0 0); 2θ = 52.42°, I 10, (1 1 4); 2θ = 61.71°, I 17, (2 0 4); 2θ = 62.85°, I 12, (2 2 0); 2θ = 73.02°, I 13, (1 1 6); 2θ = 75.11°, I 23, (3 1 2)

Atomic structure:
Cell lengths 4.1824, 4.1824, 8.6488 Å; angles 90.00, 90.00, 90.00 degrees
Space group P4/mmm (No. 123)
One atom of each set of equivalent atoms:
Na 0.0000 0.0000 0.0000
Ca 0.0000 0.0000 0.5000
P 0.5000 0.5000 0.1272
Pd 0.0000 0.5000 0.2560
Pd 0.5000 0.5000 0.5000